Simulated powder diffractogram
Compound: MnAs2F12
Radiation: Cu Kα X-rays
Structure: DFT lattice parameters and positions (GGA+U)
Neutral-atom scattering factors, no anomalous dispersion.

The 12 most intense peaks (2θ from 5° to 70°), by angle:
| 2θ (°) | Rel. int. |
| --- | --- |
| 12.8 | 98 |
| 19.9 | 91 |
| 22.8 | 29 |
| 23.2 | 100 |
| 26.6 | 25 |
| 30.9 | 19 |
| 32.7 | 31 |
| 40.5 | 15 |
| 42.0 | 16 |
| 45.8 | 18 |
| 52.0 | 18 |
| 58.7 | 19 |

Structural model:
Unit cell a=9.506 b=9.506 c=9.506 alpha=132.36 beta=132.36 gamma=69.67
Positions (direct):
Mn (0.000, 0.000, 0.000)
Mn (0.750, 0.250, 0.500)
As (0.221, 0.221, 0.000)
As (0.529, 0.029, 0.500)
As (0.779, 0.779, 0.000)
As (0.971, 0.471, 0.500)
F (0.017, 0.898, 0.186)
F (0.022, 0.699, 0.784)
F (0.037, 0.352, 0.618)
F (0.102, 0.287, 0.118)
F (0.169, 0.983, 0.882)
F (0.208, 0.509, 0.625)
F (0.259, 0.458, 0.125)
F (0.301, 0.085, 0.323)
F (0.333, 0.134, 0.875)
F (0.417, 0.792, 0.301)
F (0.449, 0.272, 0.284)
F (0.491, 0.116, 0.699)
F (0.542, 0.667, 0.801)
F (0.581, 0.963, 0.314)
F (0.648, 0.267, 0.686)
F (0.713, 0.831, 0.814)
F (0.728, 0.012, 0.177)
F (0.733, 0.419, 0.382)
F (0.762, 0.978, 0.677)
F (0.835, 0.551, 0.823)
F (0.866, 0.741, 0.199)
F (0.884, 0.583, 0.375)
F (0.915, 0.238, 0.216)
F (0.988, 0.165, 0.716)